# 1
This entry pairs a crystal structure of KTa2H8 with its simulated XRD peak list. Radiation: Cu Kα (weighted mean of Kα1 and Kα2). Structure: a crystal structure in Alexandria, relaxed with GGA-PBE.
Neutral-atom scattering factors, no anomalous dispersion.

Cell and atoms:
```
11
Lattice="2.151 -4.779 0.000 2.151 4.779 0.000 -0.006 0.000 5.733" Properties=species:S:1:pos:R:3 pbc="T T T"
K 0.000 0.000 0.000
Ta 2.147 1.551 2.949
Ta 2.147 -1.551 2.949
H 2.147 3.426 3.250
H 2.147 1.771 4.726
H 3.222 2.390 1.625
H 2.148 0.000 1.755
H 2.148 0.000 4.007
H 2.147 -1.771 4.726
H 2.147 -3.426 3.250
H 3.222 -2.390 1.625
```

Principal peaks in the range 2θ from 10° to 90°, in order of falling intensity:
- 2θ 15.46, intensity 100
- 2θ 27.55, intensity 53
- 2θ 35.05, intensity 42
- 2θ 47.62, intensity 42
- 2θ 38.51, intensity 41
- 2θ 24.25, intensity 29
- 2θ 31.20, intensity 28
- 2θ 22.67, intensity 18
- 2θ 53.26, intensity 17
- 2θ 45.02, intensity 14

=====

# 2
This entry pairs a crystal structure of LuTh2Zn with its simulated XRD peak list. Radiation: Cu Kα (weighted mean of Kα1 and Kα2). Structure: a crystal structure in Alexandria, relaxed with GGA-PBE.
Neutral-atom scattering factors, no anomalous dispersion.

Cell and atoms:
```
4
Lattice="5.531 0.000 0.000 0.000 5.531 0.000 0.000 0.000 3.625" Properties=species:S:1:pos:R:3 pbc="T T T"
Lu 0.000 0.000 0.000
Th 0.000 2.766 1.813
Th 2.766 0.000 1.813
Zn 2.766 2.766 0.000
```

Principal peaks in the range 2θ from 10° to 90°, in order of falling intensity:
- 2θ 33.71, intensity 100
- 2θ 32.37, intensity 56
- 2θ 58.60, intensity 42
- 2θ 46.44, intensity 21
- 2θ 61.13, intensity 18
- 2θ 70.89, intensity 12
- 2θ 22.74, intensity 11
- 2θ 77.12, intensity 9
- 2θ 77.87, intensity 9
- 2θ 50.34, intensity 8

=====

# 3
This entry pairs a crystal structure of Ba2LaPbS5 with its simulated XRD peak list. Radiation: Cu Kα (weighted mean of Kα1 and Kα2). Structure: a crystal structure in Alexandria, relaxed with GGA-PBE.
Neutral-atom scattering factors, no anomalous dispersion.

Cell and atoms:
```
18
Lattice="2.194 -9.087 0.000 2.194 9.087 0.000 0.000 0.000 13.142" Properties=species:S:1:pos:R:3 pbc="T T T"
Ba 2.194 7.048 6.571
Ba 2.194 6.593 1.524
Ba 2.194 -6.593 8.096
Ba 2.194 -7.048 0.000
La 2.194 5.223 10.834
La 2.194 -5.223 4.263
Pb 2.194 0.518 3.554
Pb 2.194 -0.518 10.126
S 2.194 8.128 11.615
S 2.194 3.912 6.142
S 2.194 3.290 2.407
S 2.194 2.406 10.652
S 2.194 0.158 7.587
S 2.194 -0.158 1.016
S 2.194 -2.406 4.081
S 2.194 -3.290 8.978
S 2.194 -3.912 12.713
S 2.194 -8.128 5.044
```

Principal peaks in the range 2θ from 10° to 90°, in order of falling intensity:
- 2θ 24.89, intensity 100
- 2θ 29.22, intensity 98
- 2θ 30.28, intensity 82
- 2θ 25.06, intensity 81
- 2θ 23.81, intensity 71
- 2θ 22.53, intensity 58
- 2θ 42.77, intensity 57
- 2θ 41.15, intensity 53
- 2θ 25.97, intensity 42
- 2θ 51.93, intensity 35